Structure and simulated X-ray powder pattern of Nd3TaO7 (the GGA-PBE geometry in the Materials Project; λ = 1.5418 Å (Cu Kα)).
Kinematic intensities with the Lorentz-polarization factor, no thermal factor.

The 10 most intense peaks (2θ from 10° to 90°), in order of rising 2θ:
Position (°2θ), d/Å, I_rel, hkl
28.25, 3.159, 98, 0 2 2
28.37, 3.146, 100, 2 2 0
32.81, 2.730, 70, 2 0 2
46.93, 1.936, 17, 0 0 4
47.07, 1.931, 57, 2 4 2
47.23, 1.924, 14, 4 0 0
55.77, 1.648, 42, 2 2 4
55.92, 1.644, 39, 4 2 2
78.31, 1.221, 15, 4 4 4
87.34, 1.116, 12, 2 4 6

Structure:
```
data_Nd3TaO7
_space_group_name_H-M_alt 'C m c m'
_space_group_IT_number 63
_space_group_name_Hall '-C 2c 2'
_cell_length_a 7.6979
_cell_length_b 10.9232
_cell_length_c 7.7436
_cell_angle_alpha 90.00
_cell_angle_beta 90.00
_cell_angle_gamma 90.00
loop_
_atom_site_label
_atom_site_fract_x
_atom_site_fract_y
_atom_site_fract_z
_atom_site_occupancy
Nd1 0.0000 0.0000 0.0000 1
Nd2 0.2327 0.2680 0.2500 1
Ta1 0.0000 0.5000 0.0000 1
O1 0.0000 0.1294 0.7500 1
O2 0.0000 0.1351 0.2500 1
O3 0.0000 0.4429 0.2500 1
O4 0.1913 0.3777 0.5295 1
```

---

Structure and simulated X-ray powder pattern of Nd2Ta2O9 (the GGA-PBE geometry in the Materials Project; λ = 1.5418 Å (Cu Kα)).
Kinematic intensities with the Lorentz-polarization factor, no thermal factor.

The 10 most intense peaks (2θ from 10° to 90°), in order of rising 2θ:
Position (°2θ), d/Å, I_rel, hkl
14.25, 6.216, 75, 1 0 0
23.35, 3.809, 82, 1 0 -4
23.66, 3.761, 51, 0 1 1
28.94, 3.085, 65, 1 1 1
29.52, 3.026, 100, 0 1 3
29.98, 2.980, 57, 2 0 -4
33.14, 2.703, 46, 1 0 4
35.60, 2.522, 52, 2 1 -1
46.63, 1.948, 51, 0 2 0
46.84, 1.939, 44, 1 0 -8

Structure:
```
data_Nd2Ta2O9
_space_group_name_H-M_alt 'P 1 21/c 1'
_space_group_IT_number 14
_space_group_name_Hall '-P 2ybc'
_cell_length_a 6.7210
_cell_length_b 3.8961
_cell_length_c 15.5871
_cell_angle_alpha 90.00
_cell_angle_beta 112.36
_cell_angle_gamma 90.00
loop_
_atom_site_label
_atom_site_fract_x
_atom_site_fract_y
_atom_site_fract_z
_atom_site_occupancy
Nd1 0.1855 0.0041 0.1950 1
Ta1 0.1937 0.0033 0.4609 1
O1 0.0798 0.0031 0.3238 1
O2 0.1575 0.5021 0.4517 1
O3 0.1587 0.5011 0.0811 1
O4 0.4394 0.5082 0.2810 1
O5 0.5000 0.0000 0.5000 1
```

---

Structure and simulated X-ray powder pattern of NdTa7O19 (the GGA-PBE geometry in the Materials Project; λ = 1.5418 Å (Cu Kα)).
Kinematic intensities with the Lorentz-polarization factor, no thermal factor.

The 10 most intense peaks (2θ from 10° to 90°), in order of rising 2θ:
Position (°2θ), d/Å, I_rel, hkl
16.27, 5.448, 29, 1 0 0
17.60, 5.038, 24, 0 0 4
26.54, 3.359, 64, 0 0 6
28.73, 3.108, 100, 1 1 1
29.76, 3.003, 41, 1 1 2
33.59, 2.668, 49, 1 1 4
36.23, 2.480, 51, 1 1 5
50.24, 1.816, 40, 3 0 0
54.04, 1.697, 22, 1 1 10
57.71, 1.597, 40, 3 0 6

Structure:
```
data_NdTa7O19
_space_group_name_H-M_alt 'P -6 c 2'
_space_group_IT_number 188
_space_group_name_Hall 'P -6c 2'
_cell_length_a 6.2908
_cell_length_b 6.2908
_cell_length_c 20.1539
_cell_angle_alpha 90.00
_cell_angle_beta 90.00
_cell_angle_gamma 120.00
loop_
_atom_site_label
_atom_site_fract_x
_atom_site_fract_y
_atom_site_fract_z
_atom_site_occupancy
Nd1 0.0000 0.0000 0.0000 1
Ta1 0.0259 0.3347 0.1559 1
Ta2 0.3333 0.6667 0.0000 1
O1 0.0000 0.0000 0.1320 1
O2 0.0416 0.2919 0.2500 1
O3 0.0977 0.3845 0.0568 1
O4 0.3333 0.6667 0.1671 1
O5 0.4216 0.0884 0.6533 1
```

---

Structure and simulated X-ray powder pattern of Nd2TeO6 (the GGA-PBE geometry in the Materials Project; λ = 1.5418 Å (Cu Kα)).
Kinematic intensities with the Lorentz-polarization factor, no thermal factor.

The 10 most intense peaks (2θ from 10° to 90°), in order of rising 2θ:
Position (°2θ), d/Å, I_rel, hkl
24.92, 3.573, 45, 1 2 0
25.53, 3.489, 84, 1 1 2
26.40, 3.376, 100, 1 2 1
27.63, 3.229, 29, 0 1 3
29.75, 3.003, 30, 0 3 1
32.18, 2.782, 56, 1 1 3
32.66, 2.742, 34, 2 0 0
33.42, 2.681, 26, 0 3 2
44.75, 2.025, 29, 2 3 1
52.10, 1.755, 30, 1 5 1

Structure:
```
data_Nd2TeO6
_space_group_name_H-M_alt 'P 21 21 21'
_space_group_IT_number 19
_space_group_name_Hall 'P 2ac 2ab'
_cell_length_a 5.4840
_cell_length_b 9.4183
_cell_length_c 10.3112
_cell_angle_alpha 90.00
_cell_angle_beta 90.00
_cell_angle_gamma 90.00
loop_
_atom_site_label
_atom_site_fract_x
_atom_site_fract_y
_atom_site_fract_z
_atom_site_occupancy
Nd1 0.0248 0.1040 0.4587 1
Nd2 0.0337 0.2171 0.8624 1
Te1 0.0413 0.4952 0.3566 1
O1 0.0735 0.8497 0.0236 1
O2 0.1671 0.9472 0.2876 1
O3 0.1810 0.6365 0.2429 1
O4 0.1917 0.6392 0.8242 1
O5 0.2217 0.1121 0.0649 1
O6 0.2474 0.5857 0.4918 1
```

---

Structure and simulated X-ray powder pattern of Nd2Te4O11 (the GGA-PBE geometry in the Materials Project; λ = 1.5418 Å (Cu Kα)).
Kinematic intensities with the Lorentz-polarization factor, no thermal factor.

The 10 most intense peaks (2θ from 10° to 90°), in order of rising 2θ:
Position (°2θ), d/Å, I_rel, hkl
25.87, 3.444, 100, 1 1 3
28.90, 3.089, 31, 4 0 0
29.12, 3.067, 66, 3 1 -3
32.82, 2.729, 21, 2 0 -6
33.80, 2.652, 18, 0 2 0
39.81, 2.264, 15, 2 0 6
45.05, 2.012, 21, 4 2 0
47.40, 1.918, 17, 5 1 3
47.83, 1.902, 18, 2 2 -6
52.65, 1.738, 14, 1 1 -9

Structure:
```
data_Nd2Te4O11
_space_group_name_H-M_alt 'C 1 2/c 1'
_space_group_IT_number 15
_space_group_name_Hall '-C 2yc'
_cell_length_a 12.7703
_cell_length_b 5.3034
_cell_length_c 16.6626
_cell_angle_alpha 90.00
_cell_angle_beta 104.60
_cell_angle_gamma 90.00
loop_
_atom_site_label
_atom_site_fract_x
_atom_site_fract_y
_atom_site_fract_z
_atom_site_occupancy
Nd1 0.1181 0.2486 0.0379 1
Te1 0.1183 0.2221 0.6989 1
Te2 0.1329 0.2187 0.3748 1
O1 0.0000 0.3500 0.7500 1
O2 0.0241 0.0862 0.5998 1
O3 0.0717 0.3835 0.4534 1
O4 0.1472 0.4511 0.1695 1
O5 0.2082 0.0395 0.9455 1
O6 0.2465 0.0666 0.6268 1
```

---

Structure and simulated X-ray powder pattern of Nd2Ti2O7 (the GGA-PBE geometry in the Materials Project; λ = 1.5418 Å (Cu Kα)).
Kinematic intensities with the Lorentz-polarization factor, no thermal factor.

The 10 most intense peaks (2θ from 10° to 90°), in order of rising 2θ:
Position (°2θ), d/Å, I_rel, hkl
21.01, 4.229, 50, 0 1 2
27.13, 3.287, 41, 0 0 4
28.45, 3.137, 28, 2 1 0
30.07, 2.972, 100, 2 1 1
31.68, 2.825, 27, 0 1 4
32.41, 2.762, 35, 0 2 0
33.08, 2.708, 56, 2 1 -3
42.76, 2.115, 24, 0 2 4
47.19, 1.926, 44, 4 0 -1
47.74, 1.905, 22, 0 2 5

Structure:
```
data_Nd2Ti2O7
_space_group_name_H-M_alt 'P 1 21 1'
_space_group_IT_number 4
_space_group_name_Hall 'P 2yb'
_cell_length_a 7.7029
_cell_length_b 5.5243
_cell_length_c 13.2908
_cell_angle_alpha 90.00
_cell_angle_beta 98.43
_cell_angle_gamma 90.00
loop_
_atom_site_label
_atom_site_fract_x
_atom_site_fract_y
_atom_site_fract_z
_atom_site_occupancy
Nd1 0.1451 0.0000 0.0693 1
Nd2 0.2306 0.3984 0.4146 1
Nd3 0.2822 0.8850 0.6240 1
Nd4 0.3510 0.4274 0.8821 1
Ti1 0.0317 0.4027 0.6212 1
Ti2 0.0703 0.9292 0.8203 1
Ti3 0.4144 0.4384 0.1739 1
Ti4 0.4713 0.9008 0.3759 1
O1 0.0199 0.0803 0.6822 1
O2 0.0469 0.6583 0.5217 1
O3 0.0766 0.1975 0.9054 1
O4 0.1191 0.5938 0.7289 1
O5 0.1314 0.7123 0.9283 1
O6 0.1735 0.3331 0.1922 1
O7 0.2221 0.9572 0.3886 1
O8 0.2729 0.3045 0.5924 1
O9 0.3277 0.9968 0.8062 1
O10 0.3718 0.7231 0.1131 1
O11 0.4102 0.2300 0.0584 1
O12 0.4303 0.5772 0.3194 1
O13 0.4647 0.6571 0.5236 1
O14 0.4947 0.5903 0.7318 1
```